[1]
# Ti2Ga2Cu7Au
Computed X-ray diffraction stick pattern, copper Kα. Input: a GGA-PBE-relaxed structure.
Kinematic intensities with the Lorentz-polarization factor, no thermal factor.

Structure:
abc: 3.6127 3.6127 13.4290
angles: 97.56 97.56 90.01
Fractional coordinates of all 12 atoms:
Ti (0.1668, 0.1668, 0.3413)
Ti (0.8332, 0.8332, 0.6587)
Ga (0.3627, 0.3627, 0.7190)
Ga (0.6373, 0.6373, 0.2810)
Cu (0.0000, 0.0000, 0.0000)
Cu (0.0747, 0.5743, 0.1535)
Cu (0.2670, 0.2670, 0.5364)
Cu (0.4257, 0.9253, 0.8465)
Cu (0.5743, 0.0747, 0.1535)
Cu (0.7330, 0.7330, 0.4636)
Cu (0.9253, 0.4257, 0.8465)
Au (0.5000, 0.5000, 0.0000)

Top 12 peaks for 2θ from 5° to 70°, in order of rising 2θ:
2θ/deg	d (Å)	I (rel.)
6.70	13.195	100.0
24.88	3.579	20.2
35.13	2.555	15.9
37.74	2.383	13.8
39.52	2.280	9.1
39.65	2.273	8.7
40.82	2.210	41.3
40.93	2.205	14.1
41.04	2.199	12.2
44.84	2.021	32.2
44.98	2.015	10.0
50.53	1.806	34.1



[2]
# Y2Ga3CuAu4
Computed X-ray diffraction stick pattern, copper Kα. Input: a GGA-PBE-relaxed structure.
Kinematic intensities with the Lorentz-polarization factor, no thermal factor.

Structure:
abc: 4.2931 4.2931 10.8189
angles: 90.00 90.00 90.00
Fractional coordinates of all 10 atoms:
Y (0.0000, 0.5000, 0.2468)
Y (0.5000, 0.0000, 0.7532)
Ga (0.0000, 0.0000, 0.0000)
Ga (0.0000, 0.5000, 0.6350)
Ga (0.5000, 0.0000, 0.3650)
Cu (0.5000, 0.5000, 0.0000)
Au (0.0000, 0.0000, 0.5000)
Au (0.0000, 0.5000, 0.8637)
Au (0.5000, 0.0000, 0.1363)
Au (0.5000, 0.5000, 0.5000)

Top 12 peaks for 2θ from 5° to 70°, in order of rising 2θ:
2θ/deg	d (Å)	I (rel.)
16.39	5.409	17.2
22.28	3.990	22.4
24.69	3.606	19.4
30.59	2.923	35.9
32.42	2.761	40.7
33.86	2.647	100.0
42.10	2.147	69.4
44.88	2.019	56.7
47.03	1.932	28.4
54.12	1.695	18.8
61.05	1.518	23.0
64.93	1.436	21.4